Record 1
Computed powder XRD pattern of Rb4Fe2O for Cu Kα, from a cell relaxed with GGA+U.

Main lines, in order of rising 2θ (10° ≤ 2θ ≤ 80°):
- (1 1 1), 2θ = 10.55°, I 936
- (2 2 2), 2θ = 21.20°, I 447
- (4 0 0), 2θ = 24.52°, I 1000
- (5 1 1), 2θ = 32.03°, I 400
- (4 4 0), 2θ = 34.95°, I 795
- (5 3 1), 2θ = 36.61°, I 239
- (4 4 4), 2θ = 43.16°, I 210
- (5 5 1), 2θ = 44.56°, I 277

Structural model:
Cell lengths 14.5208, 14.5208, 14.5208 Å; angles 90.00, 90.00, 90.00 degrees
Space group Fd-3m (No. 227, origin choice 2)
One atom of each set of equivalent atoms:
1 Rb 0.0180 0.0180 0.2320 (multiplicity 32)
2 Fe 0.0000 0.0000 0.0000 (multiplicity 16)
3 O 0.1250 0.1250 0.1250 (multiplicity 8)

=====

Record 2
Computed powder XRD pattern of TiCdFeP3O12 for Cu Kα, from a cell relaxed with GGA+U.

Main lines, in order of rising 2θ (10° ≤ 2θ ≤ 80°):
- (1 1 0), 2θ = 20.53°, I 1000
- (1 1 3), 2θ = 23.95°, I 666
- (2 0 2), 2θ = 25.14°, I 287
- (1 1 6), 2θ = 32.22°, I 922
- (3 0 0), 2θ = 35.95°, I 364
- (1 2 8), 2θ = 46.30°, I 303
- (2 2 6), 2θ = 49.04°, I 317
- (4 1 0), 2θ = 56.25°, I 233

Structural model:
```
data_TiCdFeP3O12
_chemical_formula_sum 'Ti6 Cd6 Fe6 P18 O72'
_cell_length_a 8.6535
_cell_length_b 8.6535
_cell_length_c 21.7402
_cell_angle_alpha 90.00
_cell_angle_beta 90.00
_cell_angle_gamma 120.00
_symmetry_space_group_name_H-M 'R 3 c'
_symmetry_Int_Tables_number 161
_symmetry_space_group_name_Hall 'R 3 -2"c'
loop_
_atom_site_label
_atom_site_type_symbol
_atom_site_fract_x
_atom_site_fract_y
_atom_site_fract_z
_atom_site_occupancy
Ti1 Ti 0.0000 0.0000 0.0000 1
Cd1 Cd 0.0000 0.0000 0.3519 1
Fe1 Fe 0.0000 0.0000 0.2066 1
P1 P 0.0430 0.3756 0.2704 1
O1 O 0.0078 0.1920 0.5445 1
O2 O 0.0237 0.1885 0.2706 1
O3 O 0.1438 0.4713 0.3282 1
O4 O 0.1705 0.4789 0.6019 1
```

=====

Record 3
Computed powder XRD pattern of SmTlMo2O8 for Cu Kα, from a cell relaxed with GGA+U.

Main lines, in order of rising 2θ (10° ≤ 2θ ≤ 80°):
- (1 1 2), 2θ = 27.09°, I 1000
- (2 0 0), 2θ = 28.01°, I 382
- (2 2 0), 2θ = 40.02°, I 160
- (2 0 4), 2θ = 47.30°, I 241
- (3 1 2), 2θ = 49.00°, I 373
- (2 2 4), 2θ = 55.87°, I 137
- (1 1 6), 2θ = 61.27°, I 103
- (3 1 6), 2θ = 75.73°, I 113

Structural model:
```
data_SmTlMo2O8
_chemical_formula_sum 'Sm2 Tl2 Mo4 O16'
_cell_length_a 6.3721
_cell_length_b 6.3721
_cell_length_c 9.6369
_cell_angle_alpha 90.00
_cell_angle_beta 90.00
_cell_angle_gamma 90.00
_symmetry_space_group_name_H-M 'P 4/n n c'
_symmetry_Int_Tables_number 126
loop_
_symmetry_equiv_pos_as_xyz
'x,y,z'
'-x,-y,-z'
'-y+1/2,x,z'
'y+1/2,-x,-z'
'-x+1/2,-y+1/2,z'
'x+1/2,y+1/2,-z'
'y,-x+1/2,z'
'-y,x+1/2,-z'
'x,-y+1/2,-z+1/2'
'-x,y+1/2,z+1/2'
'-y+1/2,-x+1/2,-z+1/2'
'y+1/2,x+1/2,z+1/2'
'-x+1/2,y,-z+1/2'
'x+1/2,-y,z+1/2'
'y,x,-z+1/2'
'-y,-x,z+1/2'
loop_
_atom_site_label
_atom_site_type_symbol
_atom_site_fract_x
_atom_site_fract_y
_atom_site_fract_z
_atom_site_occupancy
Sm1 Sm 0.2500 0.2500 0.2500 1
Tl1 Tl 0.2500 0.2500 0.7500 1
Mo1 Mo 0.2500 0.7500 0.0000 1
O1 O 0.0517 0.6402 0.6115 1
```

=====

Record 4
Computed powder XRD pattern of SrEuFeBiO6 for Cu Kα, from a cell relaxed with GGA+U.

Main lines, in order of rising 2θ (10° ≤ 2θ ≤ 80°):
- (1 1 1), 2θ = 18.65°, I 228
- (2 2 0), 2θ = 30.69°, I 1000
- (3 1 1), 2θ = 36.16°, I 154
- (4 0 0), 2θ = 43.96°, I 300
- (3 3 1), 2θ = 48.14°, I 76
- (4 2 2), 2θ = 54.57°, I 405
- (4 4 0), 2θ = 63.92°, I 186
- (6 2 0), 2θ = 72.57°, I 179

Structural model:
```
data_SrEuFeBiO6
_chemical_formula_sum 'Sr4 Eu4 Fe4 Bi4 O24'
_cell_length_a 8.2386
_cell_length_b 8.2386
_cell_length_c 8.2386
_cell_angle_alpha 90.00
_cell_angle_beta 90.00
_cell_angle_gamma 90.00
_symmetry_space_group_name_H-M 'F -4 3 m'
_symmetry_Int_Tables_number 216
_symmetry_space_group_name_Hall 'F -4 2 3'
loop_
_atom_site_label
_atom_site_type_symbol
_atom_site_fract_x
_atom_site_fract_y
_atom_site_fract_z
_atom_site_occupancy
Sr1 Sr 0.0000 0.0000 0.0000 1
Eu1 Eu 0.0000 0.0000 0.5000 1
Fe1 Fe 0.2500 0.2500 0.7500 1
Bi1 Bi 0.2500 0.2500 0.2500 1
O1 O 0.0073 0.2500 0.7500 1
```

=====

Record 5
Computed powder XRD pattern of MgMn6O7F5 for Cu Kα, from a cell relaxed with GGA+U.

Main lines, in order of rising 2θ (10° ≤ 2θ ≤ 80°):
- (1 -1 1), 2θ = 23.68°, I 1000
- (1 1 -1), 2θ = 27.42°, I 942
- (0 1 2), 2θ = 33.60°, I 422
- (1 0 -3), 2θ = 33.94°, I 301
- (-2 1 2), 2θ = 34.75°, I 222
- (0 2 -2), 2θ = 36.26°, I 208
- (1 0 3), 2θ = 47.97°, I 304
- (1 2 1), 2θ = 52.30°, I 237

Structural model:
```
data_MgMn6O7F5
_chemical_formula_sum 'Mg1 Mn6 O7 F5'
_cell_length_a 5.7366
_cell_length_b 5.8673
_cell_length_c 8.0311
_cell_angle_alpha 97.15
_cell_angle_beta 108.80
_cell_angle_gamma 111.79
_symmetry_space_group_name_H-M 'P 1'
_symmetry_Int_Tables_number 1
loop_
_symmetry_equiv_pos_as_xyz
'x,y,z'
loop_
_atom_site_label
_atom_site_type_symbol
_atom_site_fract_x
_atom_site_fract_y
_atom_site_fract_z
_atom_site_occupancy
Mg1 Mg 0.0000 0.0000 0.0000 1
Mn1 Mn 0.0119 0.8337 0.3861 1
Mn2 Mn 0.0189 0.5057 0.0444 1
Mn3 Mn 0.4430 0.5391 0.5143 1
Mn4 Mn 0.4450 0.8572 0.8389 1
Mn5 Mn 0.5885 0.1342 0.2350 1
Mn6 Mn 0.9631 0.2054 0.6801 1
O1 O 0.1682 0.3265 0.9415 1
O2 O 0.1990 0.6353 0.3358 1
O3 O 0.2352 0.5182 0.6632 1
O4 O 0.2478 0.8275 0.0029 1
O5 O 0.7122 0.8964 0.7282 1
O6 O 0.7447 0.1687 0.0378 1
O7 O 0.8261 0.0359 0.4213 1
F1 F 0.2144 0.9903 0.6562 1
F2 F 0.2369 0.1266 0.2913 1
F3 F 0.6694 0.5231 0.3594 1
F4 F 0.6781 0.3912 0.6594 1
F5 F 0.8008 0.7017 0.0814 1
```

=====

Record 6
Computed powder XRD pattern of KNdFeSnO6 for Cu Kα, from a cell relaxed with GGA+U.

Main lines, in order of rising 2θ (10° ≤ 2θ ≤ 80°):
- (1 1 1), 2θ = 19.23°, I 278
- (2 2 0), 2θ = 31.65°, I 1000
- (3 1 1), 2θ = 37.30°, I 174
- (4 0 0), 2θ = 45.37°, I 346
- (3 3 1), 2θ = 49.70°, I 84
- (4 2 2), 2θ = 56.37°, I 392
- (4 4 0), 2θ = 66.11°, I 206
- (6 2 0), 2θ = 75.15°, I 171

Structural model:
```
data_KNdFeSnO6
_chemical_formula_sum 'K4 Nd4 Fe4 Sn4 O24'
_cell_length_a 7.9957
_cell_length_b 7.9957
_cell_length_c 7.9957
_cell_angle_alpha 90.00
_cell_angle_beta 90.00
_cell_angle_gamma 90.00
_symmetry_space_group_name_H-M 'F -4 3 m'
_symmetry_Int_Tables_number 216
_symmetry_space_group_name_Hall 'F -4 2 3'
loop_
_atom_site_label
_atom_site_type_symbol
_atom_site_fract_x
_atom_site_fract_y
_atom_site_fract_z
_atom_site_occupancy
K1 K 0.0000 0.0000 0.0000 1
Nd1 Nd 0.0000 0.0000 0.5000 1
Fe1 Fe 0.2500 0.2500 0.2500 1
Sn1 Sn 0.2500 0.2500 0.7500 1
O1 O 0.0056 0.2500 0.2500 1
```

=====

Record 7
Computed powder XRD pattern of MoO3 for Cu Kα, from a cell relaxed with GGA+U.

Main lines, in order of rising 2θ (10° ≤ 2θ ≤ 80°):
- (1 1 0), 2θ = 22.80°, I 1000
- (1 -1 0), 2θ = 23.66°, I 460
- (1 1 2), 2θ = 32.19°, I 112
- (1 1 -2), 2θ = 32.74°, I 102
- (1 -1 2), 2θ = 32.98°, I 211
- (2 0 0), 2θ = 33.20°, I 197
- (2 2 0), 2θ = 46.57°, I 187
- (2 2 -2), 2θ = 52.82°, I 134

Structural model:
```
data_MoO3
_chemical_formula_sum 'Mo4 O12'
_cell_length_a 5.4000
_cell_length_b 5.4403
_cell_length_c 7.7967
_cell_angle_alpha 89.52
_cell_angle_beta 89.11
_cell_angle_gamma 87.87
_symmetry_space_group_name_H-M 'P 1'
_symmetry_Int_Tables_number 1
loop_
_symmetry_equiv_pos_as_xyz
'x,y,z'
loop_
_atom_site_label
_atom_site_type_symbol
_atom_site_fract_x
_atom_site_fract_y
_atom_site_fract_z
_atom_site_occupancy
Mo1 Mo 0.0000 0.0000 0.0000 1
Mo2 Mo 0.0109 0.0055 0.4899 1
Mo3 Mo 0.4939 0.5153 0.5003 1
Mo4 Mo 0.5095 0.5082 0.9902 1
O1 O 0.0987 0.0255 0.2689 1
O2 O 0.2607 0.3014 0.5474 1
O3 O 0.2647 0.3003 0.9895 1
O4 O 0.3202 0.8055 0.5541 1
O5 O 0.3223 0.8007 0.9964 1
O6 O 0.4799 0.5277 0.2733 1
O7 O 0.5978 0.5111 0.7689 1
O8 O 0.7675 0.2489 0.0528 1
O9 O 0.7683 0.2501 0.4972 1
O10 O 0.8186 0.7412 0.0486 1
O11 O 0.8209 0.7456 0.4884 1
O12 O 0.9810 0.0120 0.7733 1
```

=====

Record 8
Computed powder XRD pattern of Li2Co2C2O7 for Cu Kα, from a cell relaxed with GGA+U.

Main lines, in order of rising 2θ (10° ≤ 2θ ≤ 80°):
- (0 1 2), 2θ = 25.81°, I 881
- (3 0 -2), 2θ = 27.90°, I 1000
- (1 2 0), 2θ = 30.32°, I 704
- (0 2 1), 2θ = 30.83°, I 982
- (3 1 -2), 2θ = 31.49°, I 780
- (1 2 1), 2θ = 33.39°, I 681
- (1 2 -2), 2θ = 35.24°, I 882
- (0 1 3), 2θ = 35.47°, I 583

Structural model:
```
data_Li2Co2C2O7
_chemical_formula_sum 'Li8 Co8 C8 O28'
_cell_length_a 10.4567
_cell_length_b 6.1898
_cell_length_c 8.9718
_cell_angle_alpha 90.00
_cell_angle_beta 112.00
_cell_angle_gamma 90.00
_symmetry_space_group_name_H-M 'P 1 21/c 1'
_symmetry_Int_Tables_number 14
loop_
_symmetry_equiv_pos_as_xyz
'x,y,z'
'-x,-y,-z'
'-x,y+1/2,-z+1/2'
'x,-y+1/2,z+1/2'
loop_
_atom_site_label
_atom_site_type_symbol
_atom_site_fract_x
_atom_site_fract_y
_atom_site_fract_z
_atom_site_occupancy
Li1 Li 0.0089 0.1199 0.2339 1
Li2 Li 0.1286 0.0996 0.5720 1
Co1 Co 0.3536 0.5555 0.9496 1
Co2 Co 0.4862 0.6005 0.6670 1
C1 C 0.1691 0.7060 0.6339 1
C2 C 0.2583 0.1322 0.9108 1
O1 O 0.0519 0.7160 0.0363 1
O2 O 0.1409 0.1104 0.7921 1
O3 O 0.1708 0.5915 0.7570 1
O4 O 0.2731 0.2238 0.5199 1
O5 O 0.2803 0.7488 0.6110 1
O6 O 0.3633 0.0092 0.9212 1
O7 O 0.4746 0.0740 0.3449 1
```

=====

Record 9
Computed powder XRD pattern of Sr2CaMoO6 for Cu Kα, from a cell relaxed with GGA+U.

Main lines, in order of rising 2θ (10° ≤ 2θ ≤ 80°):
- (1 1 1), 2θ = 18.40°, I 126
- (2 2 0), 2θ = 30.26°, I 1000
- (2 2 2), 2θ = 37.29°, I 82
- (4 0 0), 2θ = 43.33°, I 374
- (4 2 2), 2θ = 53.76°, I 385
- (4 4 0), 2θ = 62.94°, I 220
- (6 2 0), 2θ = 71.42°, I 176
- (4 4 4), 2θ = 79.49°, I 71

Structural model:
```
data_Sr2CaMoO6
_chemical_formula_sum 'Sr8 Ca4 Mo4 O24'
_cell_length_a 8.3536
_cell_length_b 8.3536
_cell_length_c 8.3536
_cell_angle_alpha 90.00
_cell_angle_beta 90.00
_cell_angle_gamma 90.00
_symmetry_space_group_name_H-M 'F m -3 m'
_symmetry_Int_Tables_number 225
_symmetry_space_group_name_Hall '-F 4 2 3'
loop_
_atom_site_label
_atom_site_type_symbol
_atom_site_fract_x
_atom_site_fract_y
_atom_site_fract_z
_atom_site_occupancy
Sr1 Sr 0.2500 0.2500 0.2500 1
Ca1 Ca 0.0000 0.0000 0.0000 1
Mo1 Mo 0.0000 0.0000 0.5000 1
O1 O 0.0000 0.0000 0.2680 1
```

=====

Record 10
Computed powder XRD pattern of Li2VF5 for Cu Kα, from a cell relaxed with GGA+U.

Main lines, in order of rising 2θ (10° ≤ 2θ ≤ 80°):
- (0 0 2), 2θ = 18.38°, I 418
- (1 0 2), 2θ = 21.91°, I 198
- (1 1 1), 2θ = 22.03°, I 1000
- (2 1 0), 2θ = 28.82°, I 359
- (1 0 4), 2θ = 39.22°, I 180
- (2 2 0), 2θ = 40.64°, I 137
- (2 2 1), 2θ = 41.74°, I 144
- (3 2 1), 2θ = 50.19°, I 273

Structural model:
```
data_Li2VF5
_chemical_formula_sum 'Li8 V4 F20'
_cell_length_a 7.4904
_cell_length_b 5.5141
_cell_length_c 9.6535
_cell_angle_alpha 90.00
_cell_angle_beta 90.00
_cell_angle_gamma 90.00
_symmetry_space_group_name_H-M 'P n m a'
_symmetry_Int_Tables_number 62
loop_
_symmetry_equiv_pos_as_xyz
'x,y,z'
'-x,-y,-z'
'-x+1/2,-y,z+1/2'
'x+1/2,y,-z+1/2'
'x+1/2,-y+1/2,-z+1/2'
'-x+1/2,y+1/2,z+1/2'
'-x,y+1/2,-z'
'x,-y+1/2,z'
loop_
_atom_site_label
_atom_site_type_symbol
_atom_site_fract_x
_atom_site_fract_y
_atom_site_fract_z
_atom_site_occupancy
Li1 Li 0.0689 0.2500 0.2167 1
Li2 Li 0.0837 0.2500 0.9295 1
V1 V 0.1826 0.2500 0.5475 1
F1 F 0.0000 0.0000 0.5000 1
F2 F 0.1129 0.2500 0.7383 1
F3 F 0.1348 0.0043 0.0827 1
F4 F 0.2393 0.7500 0.8524 1
```